[1]
This entry pairs a crystal structure of Ba4LaTiNb3O15 with its computed X-ray diffraction stick pattern. Radiation: a wavelength of 1.5418 Å. Structure: a structure optimized by DFT (PBE).
Neutral-atom scattering factors, no anomalous dispersion.

The 10 most intense peaks (10 to 90 degrees two-theta), low angle first:
| 2theta | I (rel.) |
| --- | --- |
| 28.9 | 100 |
| 30.8 | 88 |
| 42.7 | 56 |
| 50.1 | 19 |
| 53.6 | 35 |
| 54.7 | 17 |
| 60.0 | 14 |
| 64.1 | 18 |
| 68.9 | 15 |
| 71.8 | 15 |

Cell and atoms:
```
data_Ba4LaTiNb3O15
_chemical_formula_sum 'Ba4 La1 Ti1 Nb3 O15'
_cell_length_a 5.8143
_cell_length_b 5.8143
_cell_length_c 11.7161
_cell_angle_alpha 90.00
_cell_angle_beta 90.00
_cell_angle_gamma 120.00
_symmetry_space_group_name_H-M 'P 3 m 1'
_symmetry_Int_Tables_number 156
loop_
_symmetry_equiv_pos_as_xyz
'x,y,z'
'-y,x-y,z'
'-x+y,-x,z'
'-y,-x,z'
'-x+y,y,z'
'x,x-y,z'
loop_
_atom_site_label
_atom_site_type_symbol
_atom_site_fract_x
_atom_site_fract_y
_atom_site_fract_z
_atom_site_occupancy
Ba1 Ba 0.0000 0.0000 0.0000 1
Ba2 Ba 0.0000 0.0000 0.3751 1
Ba3 Ba 0.3333 0.6667 0.7883 1
Ba4 Ba 0.6667 0.3333 0.5839 1
La1 La 0.3333 0.6667 0.1326 1
Ti1 Ti 0.3333 0.6667 0.4688 1
Nb1 Nb 0.0000 0.0000 0.6818 1
Nb2 Nb 0.6667 0.3333 0.2664 1
Nb3 Nb 0.6667 0.3333 0.9021 1
O1 O 0.0011 0.5005 0.9851 1
O2 O 0.0083 0.5041 0.3910 1
O3 O 0.1652 0.3304 0.5897 1
O4 O 0.3324 0.1662 0.7890 1
O5 O 0.3360 0.1680 0.1917 1
```



[2]
This entry pairs a crystal structure of Pr3Nd2Bi3 with its computed X-ray diffraction stick pattern. Radiation: a wavelength of 1.5418 Å. Structure: a structure optimized by DFT (PBE).
Neutral-atom scattering factors, no anomalous dispersion.

The 10 most intense peaks (10 to 90 degrees two-theta), low angle first:
| 2theta | I (rel.) |
| --- | --- |
| 26.9 | 25 |
| 28.5 | 22 |
| 31.6 | 100 |
| 32.4 | 56 |
| 32.9 | 78 |
| 41.6 | 23 |
| 46.8 | 18 |
| 50.5 | 31 |
| 55.4 | 18 |
| 62.7 | 21 |

Cell and atoms:
```
data_Pr3Nd2Bi3
_chemical_formula_sum 'Pr6 Nd4 Bi6'
_cell_length_a 9.5634
_cell_length_b 9.5634
_cell_length_c 6.6333
_cell_angle_alpha 90.00
_cell_angle_beta 90.00
_cell_angle_gamma 120.00
_symmetry_space_group_name_H-M 'P 63/m c m'
_symmetry_Int_Tables_number 193
_symmetry_space_group_name_Hall '-P 6c 2'
loop_
_atom_site_label
_atom_site_type_symbol
_atom_site_fract_x
_atom_site_fract_y
_atom_site_fract_z
_atom_site_occupancy
Pr1 Pr 0.0000 0.2474 0.2500 1
Nd1 Nd 0.3333 0.6667 0.0000 1
Bi1 Bi 0.0000 0.3884 0.7500 1
```



[3]
This entry pairs a crystal structure of CeNbCu with its computed X-ray diffraction stick pattern. Radiation: a wavelength of 1.5418 Å. Structure: a structure optimized by DFT (PBE).
Neutral-atom scattering factors, no anomalous dispersion.

The 10 most intense peaks (10 to 90 degrees two-theta), low angle first:
| 2theta | I (rel.) |
| --- | --- |
| 19.5 | 49 |
| 27.0 | 45 |
| 31.6 | 90 |
| 34.9 | 34 |
| 36.6 | 41 |
| 39.5 | 100 |
| 43.6 | 73 |
| 48.8 | 25 |
| 60.7 | 23 |
| 70.0 | 27 |

Cell and atoms:
```
data_CeNbCu
_chemical_formula_sum 'Ce16 Nb16 Cu16'
_cell_length_a 6.2227
_cell_length_b 12.2087
_cell_length_c 13.7130
_cell_angle_alpha 90.00
_cell_angle_beta 90.00
_cell_angle_gamma 90.00
_symmetry_space_group_name_H-M 'F d d d'
_symmetry_Int_Tables_number 70
loop_
_symmetry_equiv_pos_as_xyz
'x,y,z'
'-x,-y,-z'
'-x+1/4,-y+1/4,z'
'x+1/4,y+1/4,-z'
'x,-y+1/4,-z+1/4'
'-x,y+1/4,z+1/4'
'-x+1/4,y,-z+1/4'
'x+1/4,-y,z+1/4'
'x,y+1/2,z+1/2'
'-x,-y+1/2,-z+1/2'
'-x+1/4,-y+3/4,z+1/2'
'x+1/4,y+3/4,-z+1/2'
'x,-y+3/4,-z+3/4'
'-x,y+3/4,z+3/4'
'-x+1/4,y+1/2,-z+3/4'
'x+1/4,-y+1/2,z+3/4'
'x+1/2,y,z+1/2'
'-x+1/2,-y,-z+1/2'
'-x+3/4,-y+1/4,z+1/2'
'x+3/4,y+1/4,-z+1/2'
'x+1/2,-y+1/4,-z+3/4'
'-x+1/2,y+1/4,z+3/4'
'-x+3/4,y,-z+3/4'
'x+3/4,-y,z+3/4'
'x+1/2,y+1/2,z'
'-x+1/2,-y+1/2,-z'
'-x+3/4,-y+3/4,z'
'x+3/4,y+3/4,-z'
'x+1/2,-y+3/4,-z+1/4'
'-x+1/2,y+3/4,z+1/4'
'-x+3/4,y+1/2,-z+1/4'
'x+3/4,-y+1/2,z+1/4'
loop_
_atom_site_label
_atom_site_type_symbol
_atom_site_fract_x
_atom_site_fract_y
_atom_site_fract_z
_atom_site_occupancy
Ce1 Ce 0.0956 0.3750 0.3750 1
Nb1 Nb 0.0000 0.0000 0.5000 1
Cu1 Cu 0.1250 0.1250 0.3368 1
```